No. 1
For K4Mo3H4O17, a DFT-relaxed cell (PBE+U, the Materials Project) gives the computed XRD peak list in this record (Cu Kα (λ = 1.5418 Å)).
Intensities are scaled so that the largest is 100.

Structure:
```
K4Mo3H4O17
1.0
8.6101 0.0000 0.0000
-2.0640 8.4094 0.0000
-3.1059 -3.7005 11.5040
K Mo H O
8 6 8 34
Direct
0.0660 0.3038 0.4243
0.2654 0.4427 0.0388
0.3421 0.9747 0.0838
0.4265 0.7650 0.5213
0.5735 0.2350 0.4787
0.6579 0.0253 0.9162
0.7346 0.5573 0.9612
0.9340 0.6962 0.5757
0.0866 0.8105 0.2721
0.2713 0.5845 0.7743
0.2994 0.1420 0.7386
0.7006 0.8580 0.2614
0.7287 0.4155 0.2257
0.9134 0.1895 0.7279
0.0020 0.7670 0.8339
0.0884 0.1554 0.0856
0.2973 0.3264 0.2941
0.4602 0.4752 0.3540
0.5398 0.5248 0.6460
0.7027 0.6736 0.7059
0.9116 0.8446 0.9144
0.9980 0.2330 0.1661
0.0305 0.8078 0.1027
0.0536 0.0468 0.6992
0.0840 0.7572 0.4186
0.0961 0.6709 0.1251
0.1080 0.2104 0.1670
0.1257 0.6308 0.3390
0.1790 0.7192 0.8514
0.2028 0.3734 0.7930
0.2117 0.5730 0.6249
0.2644 0.1941 0.5885
0.2875 0.9557 0.3244
0.3253 0.1569 0.9068
0.3512 0.9594 0.7013
0.3733 0.3993 0.3721
0.4355 0.2887 0.6707
0.4797 0.2551 0.8924
0.4947 0.6700 0.8342
0.5053 0.3300 0.1658
0.5203 0.7449 0.1076
0.5645 0.7113 0.3293
0.6267 0.6007 0.6279
0.6488 0.0406 0.2987
0.6747 0.8431 0.0932
0.7125 0.0443 0.6756
0.7356 0.8059 0.4115
0.7883 0.4270 0.3751
0.7972 0.6266 0.2070
0.8210 0.2808 0.1486
0.8743 0.3692 0.6610
0.8920 0.7896 0.8330
0.9039 0.3291 0.8749
0.9160 0.2428 0.5814
0.9464 0.9532 0.3008
0.9695 0.1922 0.8973
```

Largest 12 diffraction maxima, low angle first, 2θ from 5° to 70°:
2θ 11.36, rel. 100
2θ 15.28, rel. 30
2θ 15.42, rel. 71
2θ 22.26, rel. 33
2θ 22.44, rel. 20
2θ 25.71, rel. 49
2θ 26.05, rel. 28
2θ 26.24, rel. 24
2θ 26.40, rel. 49
2θ 26.84, rel. 23
2θ 27.26, rel. 23
2θ 28.95, rel. 27

---

No. 2
For Tm2Mn3Sb3O14, a DFT-relaxed cell (PBE+U, the Materials Project) gives the computed XRD peak list in this record (Cu Kα (λ = 1.5418 Å)).
Intensities are scaled so that the largest is 100.

Structure:
```
Tm2Mn3Sb3O14
1.0
6.1436 -3.6617 0.0000
6.1436 3.6617 0.0000
-4.0329 0.0000 6.0342
Tm Mn Sb O
2 3 3 14
Direct
0.0000 0.5000 0.0000
0.5000 0.0000 0.0000
0.0000 0.0000 0.0000
0.0000 0.0000 0.5000
0.5000 0.5000 0.5000
0.0000 0.5000 0.5000
0.5000 0.0000 0.5000
0.5000 0.5000 0.0000
0.1210 0.1210 0.8748
0.1699 0.1699 0.4287
0.1699 0.5797 0.8255
0.1719 0.5709 0.4081
0.4056 0.4056 0.1444
0.4203 0.8301 0.1745
0.4291 0.8281 0.5919
0.5709 0.1719 0.4081
0.5797 0.1699 0.8255
0.5944 0.5944 0.8556
0.8281 0.4291 0.5919
0.8301 0.4203 0.1745
0.8301 0.8301 0.5713
0.8790 0.8790 0.1252
```

Largest 12 diffraction maxima, low angle first, 2θ from 5° to 70°:
2θ 17.36, rel. 21
2θ 29.61, rel. 52
2θ 30.03, rel. 100
2θ 30.84, rel. 47
2θ 34.82, rel. 41
2θ 35.14, rel. 19
2θ 49.50, rel. 33
2θ 49.80, rel. 16
2θ 50.33, rel. 16
2θ 51.11, rel. 30
2θ 59.00, rel. 36
2θ 59.73, rel. 14

---

No. 3
For LiCoBO3, a DFT-relaxed cell (PBE+U, the Materials Project) gives the computed XRD peak list in this record (Cu Kα (λ = 1.5418 Å)).
Intensities are scaled so that the largest is 100.

Structure:
```
LiCoBO3
1.0
2.5875 -4.4636 0.0000
2.5875 4.4636 0.0000
-0.1710 0.0000 10.3504
Li Co B O
4 4 4 12
Direct
0.0016 0.9984 0.5000
0.3181 0.3308 0.2509
0.3308 0.3181 0.7509
0.9984 0.0016 0.0000
0.3350 0.6656 0.9817
0.6600 0.9897 0.7306
0.6656 0.3350 0.4817
0.9897 0.6600 0.2306
0.3293 0.6648 0.4590
0.6613 0.9978 0.2088
0.6648 0.3293 0.9590
0.9978 0.6613 0.7088
0.0078 0.9328 0.6960
0.0679 0.6789 0.4303
0.2475 0.6433 0.7424
0.3182 0.3925 0.4448
0.3925 0.3182 0.9448
0.3966 0.7258 0.1808
0.5894 0.9201 0.4949
0.6433 0.2475 0.2424
0.6789 0.0679 0.9303
0.7258 0.3966 0.6808
0.9201 0.5894 0.9949
0.9328 0.0078 0.1960
```

Largest 12 diffraction maxima, low angle first, 2θ from 5° to 70°:
2θ 19.87, rel. 58
2θ 21.72, rel. 97
2θ 26.13, rel. 34
2θ 26.51, rel. 24
2θ 34.67, rel. 100
2θ 34.78, rel. 49
2θ 38.88, rel. 14
2θ 39.16, rel. 14
2θ 41.14, rel. 33
2θ 41.39, rel. 21
2θ 48.76, rel. 29
2θ 62.21, rel. 19

---

No. 4
For Li4MnV3P8O28, a DFT-relaxed cell (PBE+U, the Materials Project) gives the computed XRD peak list in this record (Cu Kα (λ = 1.5418 Å)).
Intensities are scaled so that the largest is 100.

Structure:
```
Li4MnV3P8O28
1.0
4.8599 0.0000 0.0000
-2.2098 10.5924 0.0000
-2.3432 -2.2946 10.4348
Li Mn V P O
4 1 3 8 28
Direct
0.0000 0.0000 0.0000
0.9999 0.4987 0.4989
0.3510 0.4250 0.9250
0.3530 0.9261 0.4248
0.9609 0.2906 0.6531
0.3915 0.2701 0.1328
0.3925 0.7705 0.6333
0.9605 0.7923 0.1547
0.3893 0.5914 0.1694
0.3897 0.0933 0.6701
0.5771 0.0080 0.1899
0.5777 0.5057 0.6902
0.7766 0.7360 0.4172
0.7780 0.2377 0.9188
0.9653 0.7557 0.8338
0.9669 0.2567 0.3328
0.0449 0.8122 0.9771
0.0499 0.3148 0.4756
0.1191 0.1430 0.6787
0.1258 0.6430 0.1813
0.2277 0.2429 0.2809
0.2278 0.7441 0.7820
0.3052 0.9482 0.6137
0.3083 0.4472 0.1128
0.3647 0.9165 0.2408
0.3656 0.4155 0.7417
0.4224 0.0804 0.0994
0.4269 0.5801 0.6000
0.5701 0.2975 0.9827
0.5727 0.1655 0.5932
0.5730 0.7983 0.4823
0.5736 0.6656 0.0939
0.5810 0.1082 0.8147
0.5825 0.6066 0.3150
0.7726 0.1102 0.3184
0.7730 0.6092 0.8182
0.7784 0.3324 0.2587
0.7784 0.8321 0.7596
0.7804 0.4397 0.6269
0.7799 0.9428 0.1271
0.9298 0.8258 0.3446
0.9316 0.3290 0.8487
0.9877 0.1829 0.0085
0.9902 0.6841 0.5085
```

Largest 12 diffraction maxima, low angle first, 2θ from 5° to 70°:
2θ 16.99, rel. 100
2θ 17.14, rel. 98
2θ 22.10, rel. 40
2θ 22.26, rel. 46
2θ 22.46, rel. 47
2θ 26.88, rel. 44
2θ 28.98, rel. 60
2θ 29.04, rel. 68
2θ 29.36, rel. 57
2θ 29.46, rel. 28
2θ 29.71, rel. 27
2θ 39.70, rel. 24

---

No. 5
For Sr3NbCoO7, a DFT-relaxed cell (PBE+U, the Materials Project) gives the computed XRD peak list in this record (Cu Kα (λ = 1.5418 Å)).
Intensities are scaled so that the largest is 100.

Structure:
```
Sr3NbCoO7
1.0
21.6635 -2.8138 0.0000
21.6635 2.8138 0.0000
-0.7308 0.0000 5.5801
Sr Nb Co O
12 4 4 28
Direct
0.0001 0.5004 0.7499
0.0629 0.5631 0.3125
0.1681 0.6683 0.4174
0.2501 0.7499 0.5000
0.3129 0.8121 0.0624
0.4185 0.9179 0.1680
0.5004 0.0001 0.2499
0.5631 0.0629 0.8125
0.6683 0.1681 0.9174
0.7499 0.2501 0.0000
0.8121 0.3129 0.5624
0.9179 0.4185 0.6680
0.1099 0.6100 0.8593
0.3598 0.8594 0.6096
0.6100 0.1099 0.3593
0.8594 0.3598 0.1096
0.2116 0.7113 0.9610
0.4615 0.9620 0.7115
0.7113 0.2116 0.4610
0.9620 0.4615 0.2115
0.0081 0.5080 0.2574
0.0607 0.5612 0.8109
0.1068 0.1070 0.3567
0.1070 0.1068 0.8567
0.1545 0.6548 0.9040
0.1934 0.2204 0.4424
0.2204 0.1934 0.9424
0.2577 0.7576 0.0071
0.3109 0.8103 0.5604
0.3572 0.3577 0.1072
0.3577 0.3572 0.6072
0.4048 0.9039 0.6544
0.4430 0.4705 0.7195
0.4705 0.4430 0.2195
0.5080 0.0081 0.7574
0.5612 0.0607 0.3109
0.6065 0.6074 0.8569
0.6074 0.6065 0.3569
0.6548 0.1545 0.4040
0.6938 0.7199 0.4709
0.7199 0.6938 0.9709
0.7576 0.2577 0.5071
0.8103 0.3109 0.0604
0.8570 0.8578 0.6075
0.8578 0.8570 0.1075
0.9039 0.4048 0.1544
0.9430 0.9705 0.6929
0.9705 0.9430 0.1929
```

Largest 12 diffraction maxima, low angle first, 2θ from 5° to 70°:
2θ 25.61, rel. 10
2θ 30.62, rel. 100
2θ 31.80, rel. 63
2θ 40.79, rel. 9
2θ 42.07, rel. 15
2θ 44.25, rel. 10
2θ 45.59, rel. 39
2θ 46.76, rel. 8
2θ 53.68, rel. 15
2θ 55.92, rel. 37
2θ 63.76, rel. 15
2θ 66.45, rel. 11

---

No. 6
For Mg14FeBiO16, a DFT-relaxed cell (PBE+U, the Materials Project) gives the computed XRD peak list in this record (Cu Kα (λ = 1.5418 Å)).
Intensities are scaled so that the largest is 100.

Structure:
```
Mg14FeBiO16
1.0
8.7325 0.0000 0.0000
0.0000 8.7325 0.0000
0.0000 0.0000 4.4195
Mg Fe Bi O
14 1 1 16
Direct
0.0000 0.2497 0.0000
0.0000 0.5000 0.5000
0.0000 0.7503 0.0000
0.2365 0.5000 0.0000
0.2415 0.2415 0.5000
0.2415 0.7585 0.5000
0.2497 0.0000 0.0000
0.5000 0.0000 0.5000
0.5000 0.2365 0.0000
0.5000 0.7635 0.0000
0.7503 0.0000 0.0000
0.7585 0.2415 0.5000
0.7585 0.7585 0.5000
0.7635 0.5000 0.0000
0.0000 0.0000 0.5000
0.5000 0.5000 0.5000
0.0000 0.0000 0.0000
0.0000 0.2535 0.5000
0.0000 0.5000 0.0000
0.0000 0.7465 0.5000
0.2301 0.5000 0.5000
0.2497 0.2497 0.0000
0.2497 0.7503 0.0000
0.2535 0.0000 0.5000
0.5000 0.0000 0.0000
0.5000 0.2301 0.5000
0.5000 0.5000 0.0000
0.5000 0.7699 0.5000
0.7465 0.0000 0.5000
0.7503 0.2497 0.0000
0.7503 0.7503 0.0000
0.7699 0.5000 0.5000
```

Largest 12 diffraction maxima, low angle first, 2θ from 5° to 70°:
2θ 10.13, rel. 60
2θ 14.34, rel. 65
2θ 20.34, rel. 38
2θ 24.77, rel. 46
2θ 28.74, rel. 32
2θ 30.55, rel. 28
2θ 35.47, rel. 53
2θ 38.44, rel. 30
2θ 40.84, rel. 53
2θ 41.36, rel. 100
2θ 59.52, rel. 61
2θ 59.92, rel. 29